This entry pairs a crystal structure of La8YTm2 with its simulated powder X-ray diffraction pattern. Radiation: λ = 1.5418 Å (Cu Kα). Structure: a crystal structure in Alexandria, relaxed with PBE.

Main lines, sorted by position (2θ from 10° to 80°):
2theta  d_spacing  I_rel
24.00  3.708  15
28.80  3.100  32
30.94  2.891  40
31.15  2.871  100
31.39  2.850  24
32.79  2.732  25
45.70  1.985  19
55.16  1.665  20
59.69  1.549  14
60.92  1.521  14

Atomic structure:
```
data_La8YTm2
_chemical_formula_sum 'La8 Y1 Tm2'
_cell_length_a 9.6280
_cell_length_b 9.6280
_cell_length_c 9.6280
_cell_angle_alpha 145.06
_cell_angle_beta 128.81
_cell_angle_gamma 63.48
_space_group_name_H-M_alt 'P 1'
_space_group_IT_number 1
_space_group_name_Hall 'P 1'
loop_
_atom_site_label
_atom_site_type_symbol
_atom_site_fract_x
_atom_site_fract_y
_atom_site_fract_z
La1 La 0.1633 0.1633 0.0000
La2 La 0.1660 0.3640 0.8019
La3 La 0.2955 0.0000 0.2955
La4 La 0.4379 0.6360 0.8019
La5 La 0.5621 0.3640 0.1981
La6 La 0.7045 0.0000 0.7045
La7 La 0.8340 0.6360 0.1981
La8 La 0.8367 0.8367 0.0000
Y1 Y 0.0000 0.5000 0.5000
Tm1 Tm 0.2974 0.7974 0.5000
Tm2 Tm 0.7026 0.2026 0.5000
```

***

This entry pairs a crystal structure of La8YTm2 with its simulated powder X-ray diffraction pattern. Radiation: λ = 1.5418 Å (Cu Kα). Structure: a crystal structure in Alexandria, relaxed with PBE.

Main lines, sorted by position (2θ from 10° to 80°):
2theta  d_spacing  I_rel
27.66  3.225  25
29.45  3.033  71
29.58  3.020  37
30.42  2.938  100
30.66  2.916  59
31.04  2.881  20
31.47  2.842  25
31.59  2.832  51
36.63  2.453  24
57.73  1.597  19

Atomic structure:
```
data_La8YTm2
_chemical_formula_sum 'La8 Y1 Tm2'
_cell_length_a 9.6003
_cell_length_b 9.6003
_cell_length_c 6.0791
_cell_angle_alpha 105.76
_cell_angle_beta 105.76
_cell_angle_gamma 122.27
_space_group_name_H-M_alt 'P 1'
_space_group_IT_number 1
_space_group_name_Hall 'P 1'
loop_
_atom_site_label
_atom_site_type_symbol
_atom_site_fract_x
_atom_site_fract_y
_atom_site_fract_z
La1 La 0.0953 0.3355 0.6848
La2 La 0.2067 0.7933 0.0000
La3 La 0.3355 0.0953 0.6848
La4 La 0.4218 0.4218 0.2015
La5 La 0.5782 0.5782 0.7985
La6 La 0.6645 0.9047 0.3152
La7 La 0.7933 0.2067 0.0000
La8 La 0.9047 0.6645 0.3152
Y1 Y 0.0000 0.0000 0.0000
Tm1 Tm 0.3121 0.6879 0.5000
Tm2 Tm 0.6879 0.3121 0.5000
```

***

This entry pairs a crystal structure of La4YTm5 with its simulated powder X-ray diffraction pattern. Radiation: λ = 1.5418 Å (Cu Kα). Structure: a crystal structure in Alexandria, relaxed with PBE.

Main lines, sorted by position (2θ from 10° to 80°):
2theta  d_spacing  I_rel
29.01  3.078  100
29.97  2.982  15
33.53  2.673  11
34.37  2.609  19
35.32  2.541  40
46.98  1.934  14
50.81  1.797  12
52.62  1.739  17
58.76  1.571  12
59.58  1.552  17

Atomic structure:
```
data_La4YTm5
_chemical_formula_sum 'La4 Y1 Tm5'
_cell_length_a 8.1857
_cell_length_b 8.1857
_cell_length_c 8.1857
_cell_angle_alpha 97.62
_cell_angle_beta 97.62
_cell_angle_gamma 137.28
_space_group_name_H-M_alt 'P 1'
_space_group_IT_number 1
_space_group_name_Hall 'P 1'
loop_
_atom_site_label
_atom_site_type_symbol
_atom_site_fract_x
_atom_site_fract_y
_atom_site_fract_z
La1 La 0.0000 0.3226 0.3226
La2 La 0.0000 0.6774 0.6774
La3 La 0.3226 0.0000 0.3226
La4 La 0.6774 0.0000 0.6774
Y1 Y 0.7471 0.7471 0.0000
Tm1 Tm 0.2293 0.2293 0.0000
Tm2 Tm 0.2953 0.2953 0.6224
Tm3 Tm 0.2953 0.6729 0.0000
Tm4 Tm 0.6729 0.2953 0.0000
Tm5 Tm 0.6729 0.6729 0.3776
```

***

This entry pairs a crystal structure of La2YTm7 with its simulated powder X-ray diffraction pattern. Radiation: λ = 1.5418 Å (Cu Kα). Structure: a crystal structure in Alexandria, relaxed with PBE.

Main lines, sorted by position (2θ from 10° to 80°):
2theta  d_spacing  I_rel
30.84  2.899  100
35.64  2.519  34
36.00  2.494  17
51.54  1.773  18
60.93  1.520  7
61.05  1.518  14
61.17  1.515  7
61.54  1.507  14
64.19  1.451  6
64.32  1.448  6

Atomic structure:
```
data_La2YTm7
_chemical_formula_sum 'La2 Y1 Tm7'
_cell_length_a 6.1361
_cell_length_b 7.0834
_cell_length_c 7.9682
_cell_angle_alpha 77.13
_cell_angle_beta 74.80
_cell_angle_gamma 73.71
_space_group_name_H-M_alt 'P 1'
_space_group_IT_number 1
_space_group_name_Hall 'P 1'
loop_
_atom_site_label
_atom_site_type_symbol
_atom_site_fract_x
_atom_site_fract_y
_atom_site_fract_z
La1 La 0.2007 0.2973 0.0995
La2 La 0.7993 0.7027 0.9005
Y1 Y 0.0000 0.5000 0.5000
Tm1 Tm 0.0000 0.0000 0.5000
Tm2 Tm 0.1972 0.8005 0.1030
Tm3 Tm 0.3992 0.6015 0.6966
Tm4 Tm 0.4006 0.1007 0.6951
Tm5 Tm 0.5994 0.8993 0.3049
Tm6 Tm 0.6008 0.3985 0.3034
Tm7 Tm 0.8028 0.1995 0.8970
```

***

This entry pairs a crystal structure of LaY5Tm with its simulated powder X-ray diffraction pattern. Radiation: λ = 1.5418 Å (Cu Kα). Structure: a crystal structure in Alexandria, relaxed with PBE.

Main lines, sorted by position (2θ from 10° to 80°):
2theta  d_spacing  I_rel
19.34  4.590  20
25.06  3.554  28
27.81  3.208  39
31.00  2.885  56
31.79  2.815  46
32.13  2.786  17
32.81  2.730  100
33.30  2.691  51
33.41  2.682  58
47.33  1.921  18

Atomic structure:
```
data_LaY5Tm
_chemical_formula_sum 'La2 Y10 Tm2'
_cell_length_a 8.5210
_cell_length_b 8.5210
_cell_length_c 6.9780
_cell_angle_alpha 102.87
_cell_angle_beta 102.87
_cell_angle_gamma 96.22
_space_group_name_H-M_alt 'P 1'
_space_group_IT_number 1
_space_group_name_Hall 'P 1'
loop_
_atom_site_label
_atom_site_type_symbol
_atom_site_fract_x
_atom_site_fract_y
_atom_site_fract_z
La1 La 0.1569 0.8431 0.7500
La2 La 0.8431 0.1569 0.2500
Y1 Y 0.1057 0.8943 0.2500
Y2 Y 0.2264 0.2842 0.6393
Y3 Y 0.2842 0.2264 0.1393
Y4 Y 0.3385 0.6046 0.4653
Y5 Y 0.3954 0.6615 0.0347
Y6 Y 0.6046 0.3385 0.9653
Y7 Y 0.6615 0.3954 0.5347
Y8 Y 0.7158 0.7736 0.8607
Y9 Y 0.7736 0.7158 0.3607
Y10 Y 0.8943 0.1057 0.7500
Tm1 Tm 0.0000 0.5000 0.0000
Tm2 Tm 0.5000 0.0000 0.5000
```

***

This entry pairs a crystal structure of La5TmZn4 with its simulated powder X-ray diffraction pattern. Radiation: λ = 1.5418 Å (Cu Kα). Structure: a crystal structure in Alexandria, relaxed with PBE.

Main lines, sorted by position (2θ from 10° to 80°):
2theta  d_spacing  I_rel
23.63  3.765  6
29.79  2.999  10
32.79  2.731  100
33.66  2.662  57
36.17  2.483  8
48.35  1.883  20
57.98  1.591  10
59.65  1.550  35
68.75  1.365  6
70.78  1.331  6

Atomic structure:
```
data_La5TmZn4
_chemical_formula_sum 'La5 Tm1 Zn4'
_cell_length_a 3.7651
_cell_length_b 3.7651
_cell_length_c 19.8358
_cell_angle_alpha 90.00
_cell_angle_beta 90.00
_cell_angle_gamma 90.00
_space_group_name_H-M_alt 'P 1'
_space_group_IT_number 1
_space_group_name_Hall 'P 1'
loop_
_atom_site_label
_atom_site_type_symbol
_atom_site_fract_x
_atom_site_fract_y
_atom_site_fract_z
La1 La 0.0000 0.0000 0.0000
La2 La 0.0000 0.0000 0.1889
La3 La 0.0000 0.0000 0.3761
La4 La 0.0000 0.0000 0.6239
La5 La 0.0000 0.0000 0.8111
Tm1 Tm 0.5000 0.5000 0.5000
Zn1 Zn 0.5000 0.5000 0.0943
Zn2 Zn 0.5000 0.5000 0.2847
Zn3 Zn 0.5000 0.5000 0.7153
Zn4 Zn 0.5000 0.5000 0.9057
```

***

This entry pairs a crystal structure of LaTm4Zn5 with its simulated powder X-ray diffraction pattern. Radiation: λ = 1.5418 Å (Cu Kα). Structure: a crystal structure in Alexandria, relaxed with PBE.

Main lines, sorted by position (2θ from 10° to 80°):
2theta  d_spacing  I_rel
24.71  3.603  10
25.08  3.550  19
35.50  2.529  100
35.77  2.510  52
43.96  2.060  9
50.67  1.801  7
51.48  1.775  18
63.57  1.464  15
64.10  1.453  35
75.14  1.264  9

Atomic structure:
```
data_LaTm4Zn5
_chemical_formula_sum 'La1 Tm4 Zn5'
_cell_length_a 3.5501
_cell_length_b 3.5501
_cell_length_c 18.0143
_cell_angle_alpha 90.00
_cell_angle_beta 90.00
_cell_angle_gamma 90.00
_space_group_name_H-M_alt 'P 1'
_space_group_IT_number 1
_space_group_name_Hall 'P 1'
loop_
_atom_site_label
_atom_site_type_symbol
_atom_site_fract_x
_atom_site_fract_y
_atom_site_fract_z
La1 La 0.0000 0.0000 0.0000
Tm1 Tm 0.0000 0.0000 0.2092
Tm2 Tm 0.0000 0.0000 0.4035
Tm3 Tm 0.0000 0.0000 0.5965
Tm4 Tm 0.0000 0.0000 0.7908
Zn1 Zn 0.5000 0.5000 0.1169
Zn2 Zn 0.5000 0.5000 0.3055
Zn3 Zn 0.5000 0.5000 0.5000
Zn4 Zn 0.5000 0.5000 0.6945
Zn5 Zn 0.5000 0.5000 0.8831
```

***

This entry pairs a crystal structure of LaTmZr with its simulated powder X-ray diffraction pattern. Radiation: λ = 1.5418 Å (Cu Kα). Structure: a crystal structure in Alexandria, relaxed with PBE.

Main lines, sorted by position (2θ from 10° to 80°):
2theta  d_spacing  I_rel
18.93  4.687  6
32.63  2.744  100
33.10  2.706  98
47.17  1.927  36
54.19  1.693  7
58.83  1.570  37
59.13  1.562  18
64.99  1.435  25
69.46  1.353  11
78.87  1.214  16

Atomic structure:
```
data_LaTmZr
_chemical_formula_sum 'La2 Tm2 Zr2'
_cell_length_a 5.4126
_cell_length_b 5.4126
_cell_length_c 6.7701
_cell_angle_alpha 90.00
_cell_angle_beta 90.00
_cell_angle_gamma 120.00
_space_group_name_H-M_alt 'P 1'
_space_group_IT_number 1
_space_group_name_Hall 'P 1'
loop_
_atom_site_label
_atom_site_type_symbol
_atom_site_fract_x
_atom_site_fract_y
_atom_site_fract_z
La1 La 0.3333 0.6667 0.0000
La2 La 0.6667 0.3333 0.0000
Tm1 Tm 0.0000 0.0000 0.2678
Tm2 Tm 0.0000 0.0000 0.7322
Zr1 Zr 0.3333 0.6667 0.5000
Zr2 Zr 0.6667 0.3333 0.5000
```

***

This entry pairs a crystal structure of LaUZn17 with its simulated powder X-ray diffraction pattern. Radiation: λ = 1.5418 Å (Cu Kα). Structure: a crystal structure in Alexandria, relaxed with PBE.

Main lines, sorted by position (2θ from 10° to 80°):
2theta  d_spacing  I_rel
28.22  3.162  35
34.33  2.612  41
35.47  2.531  26
39.85  2.262  61
40.10  2.249  100
40.84  2.210  48
41.10  2.196  21
57.80  1.595  21
58.38  1.581  24
73.84  1.283  21

Atomic structure:
```
data_LaUZn17
_chemical_formula_sum 'La1 U1 Zn17'
_cell_length_a 6.8434
_cell_length_b 6.8434
_cell_length_c 6.8434
_cell_angle_alpha 82.77
_cell_angle_beta 82.77
_cell_angle_gamma 82.77
_space_group_name_H-M_alt 'P 1'
_space_group_IT_number 1
_space_group_name_Hall 'P 1'
loop_
_atom_site_label
_atom_site_type_symbol
_atom_site_fract_x
_atom_site_fract_y
_atom_site_fract_z
La1 La 0.0000 0.0000 0.0000
U1 U 0.3273 0.3273 0.3273
Zn1 Zn 0.0182 0.0182 0.4971
Zn2 Zn 0.0182 0.4971 0.0182
Zn3 Zn 0.1620 0.6633 0.6633
Zn4 Zn 0.3138 0.3138 0.8178
Zn5 Zn 0.3138 0.8178 0.3138
Zn6 Zn 0.3698 0.6609 0.9577
Zn7 Zn 0.3698 0.9577 0.6609
Zn8 Zn 0.4971 0.0182 0.0182
Zn9 Zn 0.5604 0.5604 0.5604
Zn10 Zn 0.6609 0.3698 0.9577
Zn11 Zn 0.6609 0.9577 0.3698
Zn12 Zn 0.6633 0.1620 0.6633
Zn13 Zn 0.6633 0.6633 0.1620
Zn14 Zn 0.7597 0.7597 0.7597
Zn15 Zn 0.8178 0.3138 0.3138
Zn16 Zn 0.9577 0.3698 0.6609
Zn17 Zn 0.9577 0.6609 0.3698
```

***

This entry pairs a crystal structure of La2ZrW with its simulated powder X-ray diffraction pattern. Radiation: λ = 1.5418 Å (Cu Kα). Structure: a crystal structure in Alexandria, relaxed with PBE.

Main lines, sorted by position (2θ from 10° to 80°):
2theta  d_spacing  I_rel
13.17  6.723  17
32.83  2.728  100
33.57  2.669  55
34.13  2.627  100
38.58  2.334  39
39.33  2.291  13
52.05  1.757  32
58.73  1.572  17
61.20  1.514  18
66.19  1.412  13

Atomic structure:
```
data_La2ZrW
_chemical_formula_sum 'La2 Zr1 W1'
_cell_length_a 3.2844
_cell_length_b 4.6676
_cell_length_c 6.8956
_cell_angle_alpha 90.00
_cell_angle_beta 102.86
_cell_angle_gamma 90.00
_space_group_name_H-M_alt 'P 1'
_space_group_IT_number 1
_space_group_name_Hall 'P 1'
loop_
_atom_site_label
_atom_site_type_symbol
_atom_site_fract_x
_atom_site_fract_y
_atom_site_fract_z
La1 La 0.0000 0.0000 0.0000
La2 La 0.3205 0.5000 0.6835
Zr1 Zr 0.5988 0.0000 0.4247
W1 W 0.8094 0.5000 0.2489
```

***

This entry pairs a crystal structure of La4Y5 with its simulated powder X-ray diffraction pattern. Radiation: λ = 1.5418 Å (Cu Kα). Structure: a crystal structure in Alexandria, relaxed with PBE.

Main lines, sorted by position (2θ from 10° to 80°):
2theta  d_spacing  I_rel
28.16  3.169  25
29.53  3.025  94
31.12  2.874  100
31.89  2.806  30
32.21  2.779  93
34.35  2.611  22
48.38  1.882  18
51.31  1.781  33
52.68  1.737  18
57.70  1.598  28

Atomic structure:
```
data_La4Y5
_chemical_formula_sum 'La4 Y5'
_cell_length_a 9.2942
_cell_length_b 9.2942
_cell_length_c 9.2942
_cell_angle_alpha 156.64
_cell_angle_beta 96.57
_cell_angle_gamma 88.14
_space_group_name_H-M_alt 'P 1'
_space_group_IT_number 1
_space_group_name_Hall 'P 1'
loop_
_atom_site_label
_atom_site_type_symbol
_atom_site_fract_x
_atom_site_fract_y
_atom_site_fract_z
La1 La 0.0455 0.1886 0.8569
La2 La 0.3317 0.1886 0.1431
La3 La 0.6683 0.8114 0.8569
La4 La 0.9545 0.8114 0.1431
Y1 Y 0.0000 0.5000 0.5000
Y2 Y 0.2979 0.5000 0.7979
Y3 Y 0.3751 0.8751 0.5000
Y4 Y 0.6249 0.1249 0.5000
Y5 Y 0.7021 0.5000 0.2021
```

***

This entry pairs a crystal structure of La6Y5 with its simulated powder X-ray diffraction pattern. Radiation: λ = 1.5418 Å (Cu Kα). Structure: a crystal structure in Alexandria, relaxed with PBE.

Main lines, sorted by position (2θ from 10° to 80°):
2theta  d_spacing  I_rel
22.55  3.943  11
28.97  3.082  26
31.08  2.878  38
31.25  2.863  100
31.63  2.829  18
32.74  2.735  14
33.10  2.707  14
46.03  1.972  11
55.34  1.660  13
55.47  1.656  12

Atomic structure:
```
data_La6Y5
_chemical_formula_sum 'La6 Y5'
_cell_length_a 9.5631
_cell_length_b 9.5631
_cell_length_c 5.7559
_cell_angle_alpha 107.42
_cell_angle_beta 107.42
_cell_angle_gamma 116.22
_space_group_name_H-M_alt 'P 1'
_space_group_IT_number 1
_space_group_name_Hall 'P 1'
loop_
_atom_site_label
_atom_site_type_symbol
_atom_site_fract_x
_atom_site_fract_y
_atom_site_fract_z
La1 La 0.0684 0.3433 0.7061
La2 La 0.2063 0.2063 0.2102
La3 La 0.3433 0.0684 0.7061
La4 La 0.6567 0.9316 0.2939
La5 La 0.7937 0.7937 0.7898
La6 La 0.9316 0.6567 0.2939
Y1 Y 0.2025 0.7975 0.0000
Y2 Y 0.3379 0.6621 0.5000
Y3 Y 0.5000 0.5000 0.0000
Y4 Y 0.6621 0.3379 0.5000
Y5 Y 0.7975 0.2025 0.0000
```